# 1
Theoretical X-ray powder pattern of Zn3Ru for Cu Kα (weighted mean of Kα1 and Kα2), from DFT lattice parameters and positions (PBE).
Intensities are scaled so that the largest is 1000.

Main lines, by intensity (2θ = 10–90°):
2θ = 40.83°, d = 2.210 Å, intensity 1000; 2θ = 47.96°, d = 1.897 Å, intensity 314; 2θ = 84.49°, d = 1.147 Å, intensity 222; 2θ = 69.09°, d = 1.359 Å, intensity 187; 2θ = 46.59°, d = 1.949 Å, intensity 161; 2θ = 82.48°, d = 1.170 Å, intensity 104; 2θ = 88.48°, d = 1.105 Å, intensity 95; 2θ = 70.16°, d = 1.341 Å, intensity 95; 2θ = 24.14°, d = 3.687 Å, intensity 31; 2θ = 37.32°, d = 2.409 Å, intensity 26

Cell and atoms:
a = 8.245 Å, b = 8.245 Å, c = 8.245 Å
α = 153.40°, β = 153.40°, γ = 37.98°
Positions (direct):
Zn 0.000 0.500 0.500
Zn 0.129 0.129 0.000
Zn 0.250 0.750 0.500
Zn 0.500 0.000 0.500
Zn 0.750 0.250 0.500
Zn 0.871 0.871 0.000
Ru 0.383 0.383 0.000
Ru 0.617 0.617 0.000

---

# 2
Theoretical X-ray powder pattern of Eu2Ti2O5 for Cu Kα (weighted mean of Kα1 and Kα2), from DFT lattice parameters and positions (PBE).
Intensities are scaled so that the largest is 1000.

Main lines, by intensity (2θ = 10–90°):
2θ = 32.31°, d = 2.771 Å, intensity 1000; 2θ = 46.19°, d = 1.966 Å, intensity 234; 2θ = 57.61°, d = 1.600 Å, intensity 226; 2θ = 32.14°, d = 2.785 Å, intensity 214; 2θ = 22.62°, d = 3.931 Å, intensity 212; 2θ = 57.41°, d = 1.605 Å, intensity 157; 2θ = 39.87°, d = 2.261 Å, intensity 136; 2θ = 39.76°, d = 2.267 Å, intensity 133; 2θ = 67.65°, d = 1.385 Å, intensity 131; 2θ = 22.78°, d = 3.904 Å, intensity 122

Cell and atoms:
a = 8.741 Å, b = 8.741 Å, c = 8.741 Å
α = 53.45°, β = 142.84°, γ = 142.99°
Positions (direct):
Eu 0.006 0.119 0.125
Eu 0.006 0.381 0.387
Eu 0.994 0.619 0.613
Eu 0.994 0.881 0.875
Ti 0.476 0.735 0.241
Ti 0.494 0.235 0.759
Ti 0.498 0.498 0.000
Ti 0.498 0.998 0.500
O 0.431 0.957 0.973
O 0.448 0.121 0.583
O 0.448 0.365 0.827
O 0.497 0.237 0.240
O 0.497 0.757 0.761
O 0.538 0.621 0.173
O 0.538 0.865 0.417
O 0.984 0.457 0.027
O 0.997 0.257 0.760
O 0.997 0.737 0.239